[1]
PrSc7Al4: calculated PXRD pattern (Cu Kα, 1.54184 Å), based on a cell relaxed with GGA-PBE.
Lines closer than 0.1° are merged.

Cell and atoms:
abc: 7.0250 7.0250 9.9803
angles: 121.99 121.99 43.24
Fractional positions:
Pr1 0.0000 0.0000 0.0000
Sc1 0.0632 0.0632 0.3891
Sc2 0.2164 0.2164 0.8734
Sc3 0.3111 0.3111 0.3725
Sc4 0.5000 0.5000 0.0000
Sc5 0.6889 0.6889 0.6275
Sc6 0.7836 0.7836 0.1266
Sc7 0.9368 0.9368 0.6109
Al1 0.3184 0.3184 0.6691
Al2 0.4395 0.4395 0.2291
Al3 0.5605 0.5605 0.7709
Al4 0.6816 0.6816 0.3309

The 12 most intense peaks (2θ = 10–80°), low angle first:
- 2θ = 10.79°, I = 45
- 2θ = 13.63°, I = 40
- 2θ = 26.90°, I = 34
- 2θ = 28.50°, I = 49
- 2θ = 30.37°, I = 32
- 2θ = 30.62°, I = 61
- 2θ = 32.45°, I = 83
- 2θ = 32.62°, I = 78
- 2θ = 34.66°, I = 100
- 2θ = 36.96°, I = 54
- 2θ = 40.80°, I = 45
- 2θ = 46.91°, I = 36


[2]
AcB2AuO6: calculated PXRD pattern (Cu Kα, 1.54184 Å), based on a cell relaxed with GGA-PBE.
Lines closer than 0.1° are merged.

Cell and atoms:
abc: 6.5147 6.5147 6.5147
angles: 46.37 46.37 46.37
Fractional positions:
Ac1 0.0000 0.0000 0.0000
B1 0.2387 0.2387 0.2387
B2 0.7613 0.7613 0.7613
Au1 0.5000 0.5000 0.5000
O1 0.0388 0.7307 0.5011
O2 0.2693 0.4989 0.9612
O3 0.4989 0.9612 0.2693
O4 0.5011 0.0388 0.7307
O5 0.7307 0.5011 0.0388
O6 0.9612 0.2693 0.4989

The 12 most intense peaks (2θ = 10–80°), low angle first:
- 2θ = 22.47°, I = 100
- 2θ = 28.72°, I = 85
- 2θ = 30.82°, I = 10
- 2θ = 34.98°, I = 37
- 2θ = 41.98°, I = 27
- 2θ = 45.86°, I = 18
- 2θ = 46.47°, I = 22
- 2θ = 47.30°, I = 41
- 2θ = 55.75°, I = 23
- 2θ = 58.96°, I = 19
- 2θ = 62.74°, I = 10
- 2θ = 70.89°, I = 11